Calculated powder diffractogram
Compound: Cu9P8O32
Radiation: CuKα
Structure: a PBE-relaxed structure
Peak positions follow from Bragg's law for the DFT cell and can differ from measured ones.

Top 6 peaks for 2θ from 10° to 80°, sorted by position:
hkl 1 1 -1, 16.91 deg, I 100
hkl 1 -2 1, 20.72 deg, I 51
hkl 0 0 2, 21.80 deg, I 57
hkl -1 2 1, 26.95 deg, I 66
hkl 2 1 -2, 28.00 deg, I 46
hkl -3 1 1, 31.02 deg, I 58

Atomic structure:
Cell: 8.812 8.973 9.190 Å, 111.32 99.60 106.80°
Space group P-1 (No. 2)
Unique sites:
Cu (0.000, 0.000, 0.000) [1 per cell]
Cu (0.000, 0.500, 0.500) [1 per cell]
Cu (0.208, 0.224, 0.431) [2 per cell]
Cu (0.284, 0.608, 0.059) [2 per cell]
Cu (0.353, 0.186, 0.947) [2 per cell]
Cu (0.500, 0.000, 0.500) [1 per cell]
P (0.029, 0.382, 0.150) [2 per cell]
P (0.166, 0.877, 0.604) [2 per cell]
P (0.351, 0.081, 0.236) [2 per cell]
P (0.403, 0.429, 0.787) [2 per cell]
O (0.013, 0.153, 0.485) [2 per cell]
O (0.067, 0.385, 0.324) [2 per cell]
O (0.088, 0.242, 0.049) [2 per cell]
O (0.120, 0.561, 0.157) [2 per cell]
O (0.155, 0.041, 0.212) [2 per cell]
O (0.161, 0.662, 0.912) [2 per cell]
O (0.186, 0.700, 0.561) [2 per cell]
O (0.201, 0.966, 0.794) [2 per cell]
O (0.284, 0.293, 0.824) [2 per cell]
O (0.288, 0.985, 0.543) [2 per cell]
O (0.307, 0.428, 0.630) [2 per cell]
O (0.402, 0.087, 0.088) [2 per cell]
O (0.403, 0.945, 0.274) [2 per cell]
O (0.415, 0.257, 0.393) [2 per cell]
O (0.430, 0.588, 0.221) [2 per cell]
O (0.441, 0.615, 0.933) [2 per cell]

Calculated powder diffractogram
Compound: ZnBRu2
Radiation: CuKα
Structure: a PBE-relaxed structure
Peak positions follow from Bragg's law for the DFT cell and can differ from measured ones.

Top 6 peaks for 2θ from 10° to 80°, sorted by position:
hkl 0 1 2, 37.19 deg, I 26
hkl 0 0 9, 38.56 deg, I 33
hkl 1 0 4, 40.15 deg, I 100
hkl 0 1 5, 42.26 deg, I 42
hkl 0 1 8, 50.57 deg, I 28
hkl 1 1 0, 65.02 deg, I 27

Atomic structure:
Cell: 2.8687 2.8687 21.0142 Å, 90.00 90.00 120.00°
Space group R-3m (No. 166, hexagonal axes)
Unique sites:
Zn (0.0000, 0.0000, 0.0000) [3 per cell]
B (0.0000, 0.0000, 0.5000) [3 per cell]
Ru (0.0000, 0.0000, 0.2306) [6 per cell]